1.
# LiCd2Bi
Simulated PXRD pattern, Cu Ka. Input: a crystal structure in Alexandria, relaxed with GGA-PBE.

Top 8 peaks for 5 to 70 degrees two-theta, by angle:
(0 0 4), 21.7°, I = 32.4
(1 0 1), 26.4°, I = 100.0
(1 1 0), 36.8°, I = 53.3
(1 0 5), 37.9°, I = 93.8
(1 1 4), 43.1°, I = 22.3
(1 1 6), 50.1°, I = 19.7
(2 1 1), 60.2°, I = 20.5
(2 1 5), 67.0°, I = 34.6

Atomic structure:
abc: 3.4511 3.4511 16.3931
angles: 90.00 90.00 90.00
Space group I4mm (No. 107)
Unique sites:
Li: 0.0000 0.0000 0.0000 x2
Cd: 0.0000 0.0000 0.3987 x2
Cd: 0.0000 0.0000 0.7916 x2
Bi: 0.0000 0.0000 0.6087 x2

2.
# Pm3IrI2
Simulated PXRD pattern, Cu Ka. Input: a crystal structure in Alexandria, relaxed with GGA-PBE.

Top 8 peaks for 5 to 70 degrees two-theta, by angle:
(0 0 2), 11.6°, I = 21.3
(1 0 3), 27.8°, I = 100.0
(0 2 0), 29.2°, I = 60.6
(0 1 5), 32.8°, I = 21.1
(1 1 4), 35.3°, I = 19.9
(1 2 3), 40.8°, I = 71.8
(2 0 0), 43.8°, I = 20.0
(2 2 0), 53.5°, I = 22.2

Atomic structure:
abc: 4.1317 6.1193 15.2297
angles: 90.00 90.00 90.00
Space group Immm (No. 71)
Unique sites:
Pm: 0.0000 0.0000 0.0000 x2
Pm: 0.0000 0.0000 0.3811 x4
Ir: 0.0000 0.5000 0.0000 x2
I: 0.0000 0.5000 0.3139 x4

3.
# Rb2U3InS8
Simulated PXRD pattern, Cu Ka. Input: a crystal structure in Alexandria, relaxed with GGA-PBE.

Top 8 peaks for 5 to 70 degrees two-theta, by angle:
(0 0 3), 10.9°, I = 100.0
(0 1 5), 22.3°, I = 34.7
(1 1 3), 24.5°, I = 57.4
(0 2 1), 25.6°, I = 61.1
(0 2 4), 29.4°, I = 56.2
(0 2 7), 36.4°, I = 45.5
(2 0 8), 39.3°, I = 44.0
(2 2 0), 44.7°, I = 43.9

Atomic structure:
abc: 8.1178 8.1178 24.2425
angles: 90.00 90.00 120.00
Space group R3m (No. 160, hexagonal axes)
Unique sites:
Rb: 0.0000 0.0000 0.0000 x3
Rb: 0.0000 0.0000 0.3623 x3
U: 0.0008 0.5004 0.8632 x9
In: 0.0000 0.0000 0.7501 x3
S: 0.0000 0.0000 0.1375 x3
S: 0.0000 0.0000 0.5867 x3
S: 0.0244 0.5122 0.1374 x9
S: 0.1829 0.3658 0.9209 x9

4.
# LiAc5Tl3
Simulated PXRD pattern, Cu Ka. Input: a crystal structure in Alexandria, relaxed with GGA-PBE.

Top 8 peaks for 5 to 70 degrees two-theta, by angle:
(1 0 0), 10.1°, I = 16.1
(1 1 2), 30.1°, I = 90.1
(3 0 0), 30.5°, I = 100.0
(3 0 2), 39.3°, I = 20.1
(2 2 2), 43.3°, I = 31.3
(4 1 2), 53.9°, I = 29.5
(3 3 0), 54.2°, I = 16.9
(3 0 4), 59.5°, I = 33.7

Atomic structure:
abc: 10.1607 10.1607 7.3310
angles: 90.00 90.00 120.00
Space group P6_3/mcm (No. 193)
Unique sites:
Li: 0.0000 0.0000 0.0000 x2
Ac: 0.0000 0.3030 0.2500 x6
Ac: 0.3333 0.6667 0.0000 x4
Tl: 0.0000 0.3547 0.7500 x6

5.
# TlSn2Br6
Simulated PXRD pattern, Cu Ka. Input: a crystal structure in Alexandria, relaxed with GGA-PBE.

Top 8 peaks for 5 to 70 degrees two-theta, by angle:
(1 1 1), 19.0°, I = 52.0
(0 2 1), 20.6°, I = 21.9
(2 1 1), 24.8°, I = 29.6
(3 0 1), 27.3°, I = 78.5
(0 3 2), 35.9°, I = 100.0
(1 4 1), 39.2°, I = 23.4
(3 3 0), 41.9°, I = 53.4
(6 0 2), 56.3°, I = 23.2

Atomic structure:
abc: 12.9466 12.9466 6.7467
angles: 90.00 90.00 120.00
Space group P321 (No. 150)
Unique sites:
Tl: 0.0000 0.0000 0.0000 x1
Tl: 0.3333 0.6667 0.5160 x2
Sn: 0.0000 0.3443 0.0000 x3
Sn: 0.0000 0.6794 0.5000 x3
Br: 0.0899 0.5437 0.2432 x6
Br: 0.1154 0.2421 0.2728 x6
Br: 0.2023 0.7851 0.7728 x6

6.
# HfBe8V3
Simulated PXRD pattern, Cu Ka. Input: a crystal structure in Alexandria, relaxed with GGA-PBE.

Top 8 peaks for 5 to 70 degrees two-theta, by angle:
(0 0 1), 12.1°, I = 50.5
(1 0 0), 23.0°, I = 92.0
(0 0 2), 24.4°, I = 37.2
(0 1 1), 26.1°, I = 100.0
(0 1 2), 33.8°, I = 57.8
(1 1 0), 40.3°, I = 69.1
(0 1 3), 44.0°, I = 82.2
(1 1 2), 47.7°, I = 53.2

Atomic structure:
abc: 4.4724 4.4724 7.2897
angles: 90.00 90.00 120.00
Space group P3m1 (No. 156)
Unique sites:
Hf: 0.0000 0.0000 0.0000 x1
Be: 0.1637 0.3275 0.6745 x3
Be: 0.3333 0.6667 0.4359 x1
Be: 0.3333 0.6667 0.9308 x1
Be: 0.5039 0.0078 0.1980 x3
V: 0.0000 0.0000 0.3768 x1
V: 0.6667 0.3333 0.5009 x1
V: 0.6667 0.3333 0.8572 x1

7.
# Ac2Tb4Nd3
Simulated PXRD pattern, Cu Ka. Input: a crystal structure in Alexandria, relaxed with GGA-PBE.

Top 8 peaks for 5 to 70 degrees two-theta, by angle:
(1 0 0), 27.7°, I = 47.8
(0 0 9), 29.4°, I = 52.2
(1 0 4), 30.7°, I = 50.2
(0 1 5), 32.3°, I = 100.0
(1 0 9), 40.9°, I = 25.1
(1 1 0), 49.0°, I = 40.6
(0 1 14), 55.0°, I = 25.2
(1 1 9), 58.2°, I = 39.6

Atomic structure:
abc: 3.7164 3.7164 27.3320
angles: 90.00 90.00 120.00
Space group P3m1 (No. 156)
Unique sites:
Ac: 0.0000 0.0000 0.0000 x1
Ac: 0.0000 0.0000 0.2324 x1
Tb: 0.0000 0.0000 0.3626 x1
Tb: 0.0000 0.0000 0.5740 x1
Tb: 0.3333 0.6667 0.6754 x1
Tb: 0.3333 0.6667 0.8879 x1
Nd: 0.0000 0.0000 0.7822 x1
Nd: 0.3333 0.6667 0.1186 x1
Nd: 0.3333 0.6667 0.4659 x1

8.
# La2PmCr2N6
Simulated PXRD pattern, Cu Ka. Input: a crystal structure in Alexandria, relaxed with GGA-PBE.

Top 8 peaks for 5 to 70 degrees two-theta, by angle:
(1 0 1), 18.8°, I = 19.0
(1 0 4), 26.4°, I = 13.9
(0 1 5), 30.1°, I = 100.0
(1 1 0), 31.7°, I = 83.1
(2 0 5), 44.3°, I = 40.1
(1 0 10), 52.3°, I = 21.2
(1 2 5), 55.5°, I = 34.4
(3 0 0), 56.5°, I = 15.9

Atomic structure:
abc: 5.6393 5.6393 18.7325
angles: 90.00 90.00 120.00
Space group R-3m (No. 166, hexagonal axes)
Unique sites:
La: 0.0000 0.0000 0.2062 x6
Pm: 0.0000 0.0000 0.0000 x3
Cr: 0.0000 0.0000 0.4040 x6
N: 0.0024 0.5012 0.2356 x18